1.
Diffraction record for PrGa4PtRh2. The powder diffraction line list is computed, not measured: it uses a crystal structure in Alexandria, relaxed with PBE and copper Kα.
No peak broadening, texture or thermal motion is included.

Atomic structure:
a b c (Å): 9.250 9.250 9.250
angles (deg): 26.77 26.77 26.77
Element x y z (fractional)
Pr: 0.000 0.000 0.000
Ga: 0.129 0.129 0.129
Ga: 0.401 0.401 0.401
Ga: 0.599 0.599 0.599
Ga: 0.871 0.871 0.871
Pt: 0.500 0.500 0.500
Rh: 0.230 0.230 0.230
Rh: 0.770 0.770 0.770

Peak list (10 most intense, 2θ = 10–80°, by angle)
2θ 24.91, 3.574 Å, intensity 16; 2θ 27.50, 3.243 Å, intensity 29; 2θ 36.18, 2.483 Å, intensity 87; 2θ 41.64, 2.169 Å, intensity 21; 2θ 42.20, 2.141 Å, intensity 100; 2θ 44.57, 2.033 Å, intensity 31; 2θ 56.77, 1.622 Å, intensity 23; 2θ 73.22, 1.293 Å, intensity 22; 2θ 77.16, 1.236 Å, intensity 17; 2θ 78.82, 1.214 Å, intensity 11

=====

2.
Diffraction record for Pr2TmGa3Pt4. The powder diffraction line list is computed, not measured: it uses a crystal structure in Alexandria, relaxed with PBE and copper Kα.
No peak broadening, texture or thermal motion is included.

Atomic structure:
a b c (Å): 4.270 4.270 11.377
angles (deg): 90.00 90.00 90.00
Element x y z (fractional)
Pr: 0.000 0.500 0.230
Pr: 0.500 0.000 0.770
Tm: 0.000 0.000 0.500
Ga: 0.000 0.500 0.876
Ga: 0.500 0.000 0.124
Ga: 0.500 0.500 0.500
Pt: 0.000 0.000 0.000
Pt: 0.000 0.500 0.654
Pt: 0.500 0.000 0.346
Pt: 0.500 0.500 0.000

Peak list (10 most intense, 2θ = 10–80°, by angle)
2θ 26.09, 3.415 Å, intensity 16; 2θ 31.55, 2.836 Å, intensity 24; 2θ 33.60, 2.667 Å, intensity 100; 2θ 42.34, 2.135 Å, intensity 51; 2θ 43.72, 2.070 Å, intensity 30; 2θ 45.15, 2.008 Å, intensity 21; 2θ 53.72, 1.706 Å, intensity 16; 2θ 61.42, 1.510 Å, intensity 17; 2θ 63.61, 1.463 Å, intensity 15; 2θ 71.86, 1.314 Å, intensity 22

=====

3.
Diffraction record for PrTm2Ga2Pt7. The powder diffraction line list is computed, not measured: it uses a crystal structure in Alexandria, relaxed with PBE and copper Kα.
No peak broadening, texture or thermal motion is included.

Atomic structure:
a b c (Å): 4.068 4.068 14.221
angles (deg): 97.27 97.27 89.30
Element x y z (fractional)
Pr: 0.000 0.000 0.000
Tm: 0.139 0.139 0.360
Tm: 0.861 0.861 0.640
Ga: 0.385 0.385 0.735
Ga: 0.615 0.615 0.265
Pt: 0.071 0.571 0.163
Pt: 0.346 0.346 0.562
Pt: 0.429 0.929 0.837
Pt: 0.500 0.500 0.000
Pt: 0.571 0.071 0.163
Pt: 0.654 0.654 0.438
Pt: 0.929 0.429 0.837

Peak list (10 most intense, 2θ = 10–80°, by angle)
2θ 31.96, 2.800 Å, intensity 58; 2θ 33.85, 2.648 Å, intensity 79; 2θ 36.08, 2.489 Å, intensity 100; 2θ 36.70, 2.449 Å, intensity 22; 2θ 36.87, 2.438 Å, intensity 87; 2θ 36.98, 2.431 Å, intensity 25; 2θ 42.24, 2.140 Å, intensity 23; 2θ 44.55, 2.034 Å, intensity 100; 2θ 65.27, 1.429 Å, intensity 19; 2θ 76.05, 1.252 Å, intensity 21

=====

4.
Diffraction record for PrPu2Ga6. The powder diffraction line list is computed, not measured: it uses a crystal structure in Alexandria, relaxed with PBE and copper Kα.
No peak broadening, texture or thermal motion is included.

Atomic structure:
a b c (Å): 7.847 7.847 3.588
angles (deg): 90.00 90.00 120.00
Element x y z (fractional)
Pr: 0.000 0.000 0.000
Pu: 0.333 0.667 0.000
Pu: 0.667 0.333 0.000
Ga: 0.000 0.335 0.500
Ga: 0.000 0.665 0.500
Ga: 0.335 0.000 0.500
Ga: 0.335 0.335 0.500
Ga: 0.665 0.000 0.500
Ga: 0.665 0.665 0.500

Peak list (10 most intense, 2θ = 10–80°, by angle)
2θ 13.03, 6.795 Å, intensity 6; 2θ 22.66, 3.923 Å, intensity 29; 2θ 33.85, 2.648 Å, intensity 100; 2θ 39.79, 2.265 Å, intensity 52; 2θ 50.90, 1.794 Å, intensity 8; 2θ 53.22, 1.721 Å, intensity 28; 2θ 56.39, 1.632 Å, intensity 5; 2θ 66.48, 1.406 Å, intensity 23; 2θ 68.46, 1.370 Å, intensity 26; 2θ 72.24, 1.308 Å, intensity 9

=====

5.
Diffraction record for Pr2PuGa. The powder diffraction line list is computed, not measured: it uses a crystal structure in Alexandria, relaxed with PBE and copper Kα.
No peak broadening, texture or thermal motion is included.

Atomic structure:
a b c (Å): 3.680 3.680 8.623
angles (deg): 90.00 90.00 90.00
Element x y z (fractional)
Pr: 0.000 0.000 0.216
Pr: 0.000 0.000 0.784
Pu: 0.500 0.500 0.500
Ga: 0.500 0.500 0.000

Peak list (10 most intense, 2θ = 10–80°, by angle)
2θ 10.26, 8.623 Å, intensity 10; 2θ 26.33, 3.385 Å, intensity 25; 2θ 31.97, 2.799 Å, intensity 100; 2θ 34.46, 2.602 Å, intensity 45; 2θ 47.11, 1.929 Å, intensity 12; 2θ 49.54, 1.840 Å, intensity 16; 2θ 55.34, 1.660 Å, intensity 16; 2θ 59.16, 1.562 Å, intensity 9; 2θ 60.18, 1.538 Å, intensity 33; 2θ 66.85, 1.400 Å, intensity 9

=====

6.
Diffraction record for Rb3Pr3GaSe8. The powder diffraction line list is computed, not measured: it uses a crystal structure in Alexandria, relaxed with PBE and copper Kα.
No peak broadening, texture or thermal motion is included.

Atomic structure:
a b c (Å): 8.554 8.554 9.594
angles (deg): 116.49 116.49 59.98
Element x y z (fractional)
Rb: 0.000 0.000 0.000
Rb: 0.000 0.500 0.000
Rb: 0.500 0.000 0.000
Pr: 0.000 0.500 0.500
Pr: 0.500 0.000 0.500
Pr: 0.500 0.500 0.500
Ga: 0.000 0.000 0.500
Se: 0.213 0.213 0.686
Se: 0.215 0.758 0.687
Se: 0.242 0.785 0.313
Se: 0.265 0.265 0.296
Se: 0.735 0.735 0.704
Se: 0.758 0.215 0.687
Se: 0.785 0.242 0.313
Se: 0.787 0.787 0.314

Peak list (10 most intense, 2θ = 10–80°, by angle)
2θ 10.76, 8.224 Å, intensity 40; 2θ 28.10, 3.175 Å, intensity 100; 2θ 35.16, 2.553 Å, intensity 19; 2θ 37.97, 2.370 Å, intensity 33; 2θ 42.27, 2.138 Å, intensity 35; 2θ 47.39, 1.918 Å, intensity 10; 2θ 51.53, 1.773 Å, intensity 17; 2θ 58.11, 1.587 Å, intensity 9; 2θ 62.70, 1.482 Å, intensity 10; 2θ 68.77, 1.365 Å, intensity 14

=====

7.
Diffraction record for RbPrGaTe3. The powder diffraction line list is computed, not measured: it uses a crystal structure in Alexandria, relaxed with PBE and copper Kα.
No peak broadening, texture or thermal motion is included.

Atomic structure:
a b c (Å): 9.777 4.942 10.609
angles (deg): 90.00 106.85 90.00
Element x y z (fractional)
Rb: 0.203 0.250 0.238
Rb: 0.797 0.750 0.762
Pr: 0.332 0.750 0.862
Pr: 0.668 0.250 0.138
Ga: 0.103 0.250 0.593
Ga: 0.897 0.750 0.407
Te: 0.110 0.250 0.854
Te: 0.200 0.750 0.536
Te: 0.463 0.750 0.169
Te: 0.537 0.250 0.831
Te: 0.800 0.250 0.464
Te: 0.890 0.750 0.146

Peak list (10 most intense, 2θ = 10–80°, by angle)
2θ 10.84, 8.160 Å, intensity 86; 2θ 25.84, 3.448 Å, intensity 100; 2θ 26.23, 3.397 Å, intensity 51; 2θ 26.33, 3.384 Å, intensity 46; 2θ 31.16, 2.871 Å, intensity 22; 2θ 34.73, 2.583 Å, intensity 19; 2θ 36.36, 2.471 Å, intensity 41; 2θ 39.59, 2.276 Å, intensity 42; 2θ 42.31, 2.136 Å, intensity 24; 2θ 45.45, 1.996 Å, intensity 21

=====

8.
Diffraction record for Rb3Pr3GaTe8. The powder diffraction line list is computed, not measured: it uses a crystal structure in Alexandria, relaxed with PBE and copper Kα.
No peak broadening, texture or thermal motion is included.

Atomic structure:
a b c (Å): 9.047 9.047 10.306
angles (deg): 116.06 116.06 60.04
Element x y z (fractional)
Rb: 0.000 0.000 0.000
Rb: 0.000 0.500 0.000
Rb: 0.500 0.000 0.000
Pr: 0.000 0.500 0.500
Pr: 0.500 0.000 0.500
Pr: 0.500 0.500 0.500
Ga: 0.000 0.000 0.500
Te: 0.215 0.215 0.690
Te: 0.219 0.755 0.693
Te: 0.245 0.781 0.307
Te: 0.264 0.264 0.291
Te: 0.736 0.736 0.709
Te: 0.755 0.219 0.693
Te: 0.781 0.245 0.307
Te: 0.785 0.785 0.310

Peak list (10 most intense, 2θ = 10–80°, by angle)
2θ 26.39, 3.377 Å, intensity 100; 2θ 32.80, 2.730 Å, intensity 18; 2θ 35.37, 2.538 Å, intensity 32; 2θ 39.85, 2.262 Å, intensity 36; 2θ 43.95, 2.060 Å, intensity 12; 2θ 48.43, 1.880 Å, intensity 18; 2θ 54.33, 1.689 Å, intensity 9; 2θ 58.22, 1.585 Å, intensity 8; 2θ 64.45, 1.446 Å, intensity 14; 2θ 66.98, 1.397 Å, intensity 7

=====

9.
Diffraction record for Pr2Ga8Rh. The powder diffraction line list is computed, not measured: it uses a crystal structure in Alexandria, relaxed with PBE and copper Kα.
No peak broadening, texture or thermal motion is included.

Atomic structure:
a b c (Å): 4.396 4.396 11.463
angles (deg): 90.00 90.00 90.00
Element x y z (fractional)
Pr: 0.000 0.000 0.194
Pr: 0.000 0.000 0.806
Ga: 0.000 0.500 0.000
Ga: 0.000 0.500 0.383
Ga: 0.000 0.500 0.617
Ga: 0.500 0.000 0.000
Ga: 0.500 0.000 0.383
Ga: 0.500 0.000 0.617
Ga: 0.500 0.500 0.194
Ga: 0.500 0.500 0.806
Rh: 0.000 0.000 0.500

Peak list (10 most intense, 2θ = 10–80°, by angle)
2θ 20.20, 4.396 Å, intensity 22; 2θ 31.01, 2.884 Å, intensity 13; 2θ 32.77, 2.733 Å, intensity 36; 2θ 37.29, 2.411 Å, intensity 100; 2θ 39.30, 2.293 Å, intensity 18; 2θ 41.06, 2.198 Å, intensity 57; 2θ 58.14, 1.587 Å, intensity 22; 2θ 59.47, 1.554 Å, intensity 19; 2θ 72.33, 1.306 Å, intensity 27; 2θ 72.66, 1.301 Å, intensity 11

=====

10.
Diffraction record for Pr2Ga7Rh. The powder diffraction line list is computed, not measured: it uses a crystal structure in Alexandria, relaxed with PBE and copper Kα.
No peak broadening, texture or thermal motion is included.

Atomic structure:
a b c (Å): 4.269 4.269 10.836
angles (deg): 90.00 90.00 90.00
Element x y z (fractional)
Pr: 0.000 0.500 0.246
Pr: 0.500 0.000 0.754
Ga: 0.000 0.000 0.000
Ga: 0.000 0.000 0.500
Ga: 0.000 0.500 0.641
Ga: 0.000 0.500 0.873
Ga: 0.500 0.000 0.127
Ga: 0.500 0.000 0.359
Ga: 0.500 0.500 0.500
Rh: 0.500 0.500 0.000

Peak list (10 most intense, 2θ = 10–80°, by angle)
2θ 32.47, 2.757 Å, intensity 56; 2θ 34.00, 2.637 Å, intensity 100; 2θ 42.35, 2.134 Å, intensity 54; 2θ 44.96, 2.016 Å, intensity 12; 2θ 47.02, 1.932 Å, intensity 28; 2θ 54.36, 1.688 Å, intensity 26; 2θ 59.66, 1.550 Å, intensity 12; 2θ 61.44, 1.509 Å, intensity 17; 2θ 65.12, 1.432 Å, intensity 20; 2θ 72.11, 1.310 Å, intensity 22

=====

11.
Diffraction record for Pr3GaRh2. The powder diffraction line list is computed, not measured: it uses a crystal structure in Alexandria, relaxed with PBE and copper Kα.
No peak broadening, texture or thermal motion is included.

Atomic structure:
a b c (Å): 12.306 3.987 12.350
angles (deg): 90.00 90.00 90.00
Element x y z (fractional)
Pr: 0.063 0.250 0.123
Pr: 0.129 0.750 0.569
Pr: 0.197 0.250 0.820
Pr: 0.303 0.750 0.320
Pr: 0.371 0.250 0.069
Pr: 0.437 0.750 0.623
Pr: 0.563 0.250 0.377
Pr: 0.629 0.750 0.931
Pr: 0.697 0.250 0.680
Pr: 0.803 0.750 0.180
Pr: 0.871 0.250 0.431
Pr: 0.937 0.750 0.877
Ga: 0.121 0.250 0.370
Ga: 0.379 0.750 0.870
Ga: 0.621 0.250 0.130
Ga: 0.879 0.750 0.630
Rh: 0.012 0.750 0.305
Rh: 0.193 0.750 0.988
Rh: 0.307 0.250 0.488
Rh: 0.488 0.250 0.805
Rh: 0.512 0.750 0.195
Rh: 0.693 0.750 0.512
Rh: 0.807 0.250 0.012
Rh: 0.988 0.250 0.695

Peak list (10 most intense, 2θ = 10–80°, by angle)
2θ 26.08, 3.417 Å, intensity 37; 2θ 29.89, 2.989 Å, intensity 81; 2θ 30.38, 2.942 Å, intensity 54; 2θ 31.23, 2.864 Å, intensity 96; 2θ 32.11, 2.788 Å, intensity 76; 2θ 34.57, 2.595 Å, intensity 100; 2θ 37.62, 2.391 Å, intensity 53; 2θ 39.75, 2.268 Å, intensity 66; 2θ 42.73, 2.116 Å, intensity 43; 2θ 45.50, 1.994 Å, intensity 52

=====

12.
Diffraction record for Pr2GaRh2. The powder diffraction line list is computed, not measured: it uses a crystal structure in Alexandria, relaxed with PBE and copper Kα.
No peak broadening, texture or thermal motion is included.

Atomic structure:
a b c (Å): 5.863 5.863 7.783
angles (deg): 102.51 102.51 57.84
Element x y z (fractional)
Pr: 0.001 0.291 0.149
Pr: 0.291 0.001 0.649
Pr: 0.709 0.999 0.351
Pr: 0.999 0.709 0.851
Ga: 0.364 0.636 0.250
Ga: 0.636 0.364 0.750
Rh: 0.233 0.502 0.494
Rh: 0.498 0.767 0.006
Rh: 0.502 0.233 0.994
Rh: 0.767 0.498 0.506

Peak list (10 most intense, 2θ = 10–80°, by angle)
2θ 31.60, 2.832 Å, intensity 38; 2θ 33.18, 2.700 Å, intensity 45; 2θ 33.77, 2.654 Å, intensity 64; 2θ 35.08, 2.558 Å, intensity 44; 2θ 35.86, 2.504 Å, intensity 41; 2θ 36.13, 2.486 Å, intensity 42; 2θ 36.98, 2.431 Å, intensity 68; 2θ 38.14, 2.360 Å, intensity 100; 2θ 39.87, 2.261 Å, intensity 64; 2θ 63.54, 1.464 Å, intensity 33

=====

13.
Diffraction record for PrGa2Rh. The powder diffraction line list is computed, not measured: it uses a crystal structure in Alexandria, relaxed with PBE and copper Kα.
No peak broadening, texture or thermal motion is included.

Atomic structure:
a b c (Å): 4.252 4.252 15.835
angles (deg): 90.00 90.00 120.00
Element x y z (fractional)
Pr: 0.000 0.000 0.000
Pr: 0.333 0.667 0.667
Pr: 0.667 0.333 0.333
Ga: 0.000 0.000 0.212
Ga: 0.000 0.000 0.788
Ga: 0.333 0.667 0.454
Ga: 0.333 0.667 0.879
Ga: 0.667 0.333 0.121
Ga: 0.667 0.333 0.546
Rh: 0.000 0.000 0.500
Rh: 0.333 0.667 0.167
Rh: 0.667 0.333 0.833

Peak list (10 most intense, 2θ = 10–80°, by angle)
2θ 26.70, 3.339 Å, intensity 22; 2θ 33.23, 2.696 Å, intensity 100; 2θ 33.97, 2.639 Å, intensity 14; 2θ 37.45, 2.401 Å, intensity 19; 2θ 42.52, 2.126 Å, intensity 70; 2θ 55.00, 1.670 Å, intensity 23; 2θ 55.50, 1.656 Å, intensity 21; 2θ 64.00, 1.455 Å, intensity 16; 2θ 71.90, 1.313 Å, intensity 21; 2θ 77.81, 1.228 Å, intensity 11